Entry 1:
# Ti2N2O
Theoretical powder diffractogram, Cu Kα X-rays. Input: a DFT-relaxed cell (PBE, the Materials Project).

Structural model:
abc: 8.2187 8.2193 8.2203
angles: 109.42 109.52 109.37
Fractional coordinates of all 40 atoms:
Ti 0.0000 0.0000 0.0000
Ti 0.0039 0.5049 0.5227
Ti 0.0463 0.2609 0.8165
Ti 0.2093 0.4642 0.2633
Ti 0.2523 0.7109 0.9788
Ti 0.2737 0.2326 0.4855
Ti 0.3046 0.0595 0.7735
Ti 0.4682 0.7585 0.7301
Ti 0.5132 0.0253 0.5331
Ti 0.5173 0.5325 0.0356
Ti 0.5644 0.2736 0.3113
Ti 0.7188 0.9748 0.2741
Ti 0.7491 0.2974 0.0562
Ti 0.7659 0.8135 0.5625
Ti 0.8018 0.5559 0.7639
Ti 0.9805 0.7771 0.2361
N 0.0042 0.4669 0.7447
N 0.0526 0.0042 0.7858
N 0.0628 0.7908 0.0341
N 0.2353 0.9655 0.4797
N 0.2484 0.4767 0.5301
N 0.2884 0.5261 0.0753
N 0.4988 0.2784 0.0602
N 0.5168 0.7481 0.9794
N 0.5491 0.2910 0.5721
N 0.5619 0.0551 0.7953
N 0.7357 0.7820 0.7943
N 0.7492 0.7411 0.2943
N 0.7766 0.5538 0.5087
N 0.7838 0.0642 0.5594
N 0.7891 0.2409 0.2871
N 0.9642 0.2410 0.0126
O 0.0203 0.5645 0.2914
O 0.2356 0.7914 0.7533
O 0.2783 0.2889 0.7454
O 0.2843 0.2501 0.2488
O 0.4644 0.9771 0.2462
O 0.4679 0.7401 0.4688
O 0.7381 0.5039 0.9730
O 0.9721 0.0262 0.2566

Most intense lines, 2θ from 10° to 80°, low angle first:
Position (°2θ), Rel. int.
22.94, 22
32.67, 100
37.90, 14
40.29, 6
44.76, 10
48.89, 11
54.66, 26
54.74, 13
65.14, 12
65.24, 6

***

Entry 2:
# RbHSO4
Theoretical powder diffractogram, Cu Kα X-rays. Input: a DFT-relaxed cell (PBE, the Materials Project).

Structural model:
abc: 14.6841 4.6854 15.1483
angles: 90.00 120.69 90.00
Fractional coordinates of all 56 atoms:
Rb 0.1227 0.1407 0.4157
Rb 0.1227 0.3593 0.9157
Rb 0.3754 0.7022 0.3360
Rb 0.3754 0.7978 0.8360
Rb 0.6246 0.2022 0.1640
Rb 0.6246 0.2978 0.6640
Rb 0.8773 0.6407 0.0843
Rb 0.8773 0.8593 0.5843
H 0.1299 0.6913 0.6116
H 0.1299 0.8087 0.1116
H 0.3764 0.1927 0.1377
H 0.3764 0.3073 0.6377
H 0.6236 0.6927 0.3623
H 0.6236 0.8073 0.8623
H 0.8701 0.1913 0.8884
H 0.8701 0.3087 0.3884
S 0.1238 0.2170 0.1731
S 0.1238 0.2830 0.6731
S 0.3720 0.7400 0.5783
S 0.3720 0.7600 0.0783
S 0.6280 0.2400 0.9217
S 0.6280 0.2600 0.4217
S 0.8762 0.7170 0.3269
S 0.8762 0.7830 0.8269
O 0.0314 0.1133 0.1767
O 0.0314 0.3867 0.6767
O 0.1051 0.0046 0.6222
O 0.1051 0.4954 0.1222
O 0.1385 0.0150 0.0967
O 0.1385 0.4850 0.5967
O 0.2219 0.2046 0.2735
O 0.2219 0.2954 0.7735
O 0.2853 0.6184 0.4832
O 0.2853 0.8816 0.9832
O 0.3375 0.5178 0.1171
O 0.3375 0.9822 0.6171
O 0.4077 0.5033 0.6661
O 0.4077 0.9967 0.1661
O 0.4666 0.6940 0.0726
O 0.4666 0.8060 0.5726
O 0.5334 0.1940 0.4274
O 0.5334 0.3060 0.9274
O 0.5923 0.0033 0.8339
O 0.5923 0.4967 0.3339
O 0.6625 0.0178 0.3829
O 0.6625 0.4822 0.8829
O 0.7147 0.1184 0.0168
O 0.7147 0.3816 0.5168
O 0.7781 0.7046 0.2265
O 0.7781 0.7954 0.7265
O 0.8615 0.5150 0.4033
O 0.8615 0.9850 0.9033
O 0.8949 0.5046 0.8778
O 0.8949 0.9954 0.3778
O 0.9686 0.6133 0.3233
O 0.9686 0.8867 0.8233

Most intense lines, 2θ from 10° to 80°, low angle first:
Position (°2θ), Rel. int.
23.49, 46
23.65, 100
26.61, 10
27.39, 15
27.54, 13
28.27, 34
33.51, 27
33.64, 27
36.22, 13
39.07, 13

***

Entry 3:
# Rb2Zn3S4
Theoretical powder diffractogram, Cu Kα X-rays. Input: a DFT-relaxed cell (PBE, the Materials Project).

Structural model:
abc: 9.3255 9.3255 9.3255
angles: 143.56 106.15 85.26
Fractional coordinates of all 18 atoms:
Rb 0.1214 0.2351 0.3565
Rb 0.3786 0.7351 0.1136
Rb 0.6214 0.2649 0.8864
Rb 0.8786 0.7649 0.6435
Zn 0.0268 0.2500 0.7768
Zn 0.2500 0.7500 0.5000
Zn 0.4732 0.2500 0.2232
Zn 0.5268 0.7500 0.7768
Zn 0.7500 0.2500 0.5000
Zn 0.9732 0.7500 0.2232
S 0.0194 0.4317 0.1464
S 0.2148 0.0683 0.5877
S 0.2852 0.8730 0.8536
S 0.4806 0.6270 0.4123
S 0.5194 0.3730 0.5877
S 0.7148 0.1270 0.1464
S 0.7852 0.9317 0.4123
S 0.9806 0.5683 0.8536

Most intense lines, 2θ from 10° to 80°, low angle first:
Position (°2θ), Rel. int.
12.90, 16
22.95, 18
25.97, 30
29.50, 100
31.29, 15
33.39, 47
34.59, 37
44.87, 38
50.73, 28
51.59, 24

***

Entry 4:
# LiEuYO2
Theoretical powder diffractogram, Cu Kα X-rays. Input: a DFT-relaxed cell (PBE, the Materials Project).

Structural model:
abc: 4.0312 4.0312 5.9284
angles: 97.98 97.98 88.05
Fractional coordinates of all 5 atoms:
Li 0.0000 0.0000 0.0000
Eu 0.0000 0.0000 0.5000
Y 0.5000 0.5000 0.0000
O 0.2560 0.2560 0.2368
O 0.7440 0.7440 0.7632

Most intense lines, 2θ from 10° to 80°, low angle first:
Position (°2θ), Rel. int.
25.29, 76
28.79, 100
30.74, 26
31.45, 24
31.95, 41
39.82, 22
44.92, 19
49.39, 21
50.36, 21
51.93, 19

***

Entry 5:
# HoGa3
Theoretical powder diffractogram, Cu Kα X-rays. Input: a DFT-relaxed cell (PBE, the Materials Project).

Structural model:
abc: 6.1556 6.1556 9.5299
angles: 90.00 90.00 120.00
Fractional coordinates of all 16 atoms:
Ho 0.0000 0.0000 0.0000
Ho 0.0000 0.0000 0.5000
Ho 0.3333 0.6667 0.2500
Ho 0.6667 0.3333 0.7500
Ga 0.0000 0.5000 0.0000
Ga 0.0000 0.5000 0.5000
Ga 0.1856 0.3711 0.7500
Ga 0.1856 0.8144 0.7500
Ga 0.3711 0.1856 0.2500
Ga 0.5000 0.0000 0.0000
Ga 0.5000 0.0000 0.5000
Ga 0.5000 0.5000 0.0000
Ga 0.5000 0.5000 0.5000
Ga 0.6289 0.8144 0.7500
Ga 0.8144 0.1856 0.2500
Ga 0.8144 0.6289 0.2500

Most intense lines, 2θ from 10° to 80°, low angle first:
Position (°2θ), Rel. int.
25.07, 25
29.01, 12
34.95, 42
37.76, 32
38.71, 100
44.36, 21
60.13, 24
68.81, 18
73.22, 25
73.83, 13

***

Entry 6:
# LiTaNbAg2O6
Theoretical powder diffractogram, Cu Kα X-rays. Input: a DFT-relaxed cell (PBE, the Materials Project).

Structural model:
abc: 4.0827 4.0827 8.1434
angles: 90.00 90.00 90.25
Fractional coordinates of all 11 atoms:
Li 0.0000 0.0000 0.0000
Ta 0.5000 0.5000 0.0000
Nb 0.5000 0.5000 0.5000
Ag 0.0000 0.0000 0.3082
Ag 0.0000 0.0000 0.6918
O 0.0000 0.5000 0.0000
O 0.0000 0.5000 0.5000
O 0.5000 0.0000 0.0000
O 0.5000 0.0000 0.5000
O 0.5000 0.5000 0.2460
O 0.5000 0.5000 0.7540

Most intense lines, 2θ from 10° to 80°, low angle first:
Position (°2θ), Rel. int.
21.81, 10
24.39, 21
30.91, 26
31.03, 100
44.38, 30
50.05, 12
55.04, 15
55.21, 21
64.68, 13
73.39, 11

***

Entry 7:
# MgRe2O12
Theoretical powder diffractogram, Cu Kα X-rays. Input: a DFT-relaxed cell (PBE, the Materials Project).

Structural model:
abc: 6.3779 7.1931 7.4619
angles: 100.79 110.00 108.93
Fractional coordinates of all 15 atoms:
Mg 0.0000 0.0000 0.0000
Re 0.0345 0.7494 0.3873
Re 0.2770 0.4260 0.8236
O 0.0193 0.3951 0.6196
O 0.0459 0.9192 0.2400
O 0.1980 0.2174 0.9262
O 0.3292 0.8082 0.5615
O 0.3981 0.6700 0.0055
O 0.4665 0.3552 0.3671
O 0.4967 0.4150 0.7390
O 0.5351 0.2179 0.3327
O 0.8205 0.1890 0.9537
O 0.8584 0.7860 0.5173
O 0.8993 0.4928 0.2267
O 0.9083 0.7203 0.7970

Most intense lines, 2θ from 10° to 80°, low angle first:
Position (°2θ), Rel. int.
13.82, 48
15.71, 48
16.00, 66
16.31, 92
19.58, 100
22.33, 63
22.71, 72
25.59, 76
26.53, 44
27.35, 55

***

Entry 8:
# BaMgAg4O8
Theoretical powder diffractogram, Cu Kα X-rays. Input: a DFT-relaxed cell (PBE, the Materials Project).

Structural model:
abc: 5.7533 5.7533 7.2983
angles: 90.00 90.00 120.00
Fractional coordinates of all 14 atoms:
Ba 0.0000 0.0000 0.0000
Mg 0.0000 0.0000 0.5000
Ag 0.3333 0.6667 0.2858
Ag 0.3333 0.6667 0.7142
Ag 0.6667 0.3333 0.2858
Ag 0.6667 0.3333 0.7142
O 0.0000 0.2791 0.3152
O 0.0000 0.7209 0.6848
O 0.2791 0.0000 0.3152
O 0.2791 0.2791 0.6848
O 0.3333 0.6667 0.0000
O 0.6667 0.3333 0.0000
O 0.7209 0.0000 0.6848
O 0.7209 0.7209 0.3152

Most intense lines, 2θ from 10° to 80°, low angle first:
Position (°2θ), Rel. int.
21.60, 23
24.39, 14
30.36, 64
31.09, 100
36.95, 15
44.01, 28
49.04, 22
54.86, 28
55.31, 25
60.05, 18

***

Entry 9:
# Mg23Al30
Theoretical powder diffractogram, Cu Kα X-rays. Input: a DFT-relaxed cell (PBE, the Materials Project).

Structural model:
abc: 10.3293 10.3293 10.3293
angles: 76.53 76.53 76.53
Fractional coordinates of all 53 atoms:
Mg 0.0000 0.0000 0.0000
Mg 0.0488 0.8483 0.5570
Mg 0.0696 0.6913 0.1183
Mg 0.1125 0.5947 0.4188
Mg 0.1183 0.0696 0.6913
Mg 0.1517 0.4430 0.9512
Mg 0.1619 0.1619 0.1619
Mg 0.3087 0.8817 0.9304
Mg 0.4053 0.5812 0.8875
Mg 0.4188 0.1125 0.5947
Mg 0.4228 0.4228 0.4228
Mg 0.4430 0.9512 0.1517
Mg 0.5570 0.0488 0.8483
Mg 0.5772 0.5772 0.5772
Mg 0.5812 0.8875 0.4053
Mg 0.5947 0.4188 0.1125
Mg 0.6913 0.1183 0.0696
Mg 0.8381 0.8381 0.8381
Mg 0.8483 0.5570 0.0488
Mg 0.8817 0.9304 0.3087
Mg 0.8875 0.4053 0.5812
Mg 0.9304 0.3087 0.8817
Mg 0.9512 0.1517 0.4430
Al 0.0088 0.4152 0.2599
Al 0.1260 0.7565 0.8310
Al 0.1654 0.3599 0.6612
Al 0.1690 0.8740 0.2435
Al 0.1822 0.2817 0.4304
Al 0.2435 0.1690 0.8740
Al 0.2599 0.0088 0.4152
Al 0.2650 0.5911 0.6491
Al 0.2817 0.4304 0.1822
Al 0.3388 0.8346 0.6401
Al 0.3509 0.7350 0.4089
Al 0.3599 0.6612 0.1654
Al 0.4089 0.3509 0.7350
Al 0.4152 0.2599 0.0088
Al 0.4304 0.1822 0.2817
Al 0.5696 0.8178 0.7183
Al 0.5848 0.7401 0.9912
Al 0.5911 0.6491 0.2650
Al 0.6401 0.3388 0.8346
Al 0.6491 0.2650 0.5911
Al 0.6612 0.1654 0.3599
Al 0.7183 0.5696 0.8178
Al 0.7350 0.4089 0.3509
Al 0.7401 0.9912 0.5848
Al 0.7565 0.8310 0.1260
Al 0.8178 0.7183 0.5696
Al 0.8310 0.1260 0.7565
Al 0.8346 0.6401 0.3388
Al 0.8740 0.2435 0.1690
Al 0.9912 0.5848 0.7401

Most intense lines, 2θ from 10° to 80°, low angle first:
Position (°2θ), Rel. int.
35.83, 52
36.09, 100
36.30, 60
37.19, 74
38.58, 54
39.15, 39
39.30, 20
39.64, 57
43.42, 28
45.13, 20